Starting from a cell relaxed with GGA-PBE, the powder X-ray diffraction pattern of Tm4GeAsC2 was computed for λ = 1.5418 Å (Cu Kα).
No peak broadening, texture or thermal motion is included.

Peak list (8 most intense, 2θ from 15° to 90°, low angle first)
28.95°, I = 25
34.66°, I = 100
37.81°, I = 15
48.31°, I = 13
51.30°, I = 24
63.40°, I = 17
65.46°, I = 19
85.81°, I = 15

Atomic structure:
```
data_Tm4GeAsC2
_cell_length_a 3.5618
_cell_length_b 3.5618
_cell_length_c 14.2764
_cell_angle_alpha 90.00
_cell_angle_beta 90.00
_cell_angle_gamma 120.00
_symmetry_space_group_name_H-M 'P -6 m 2'
_symmetry_Int_Tables_number 187
_symmetry_space_group_name_Hall 'P -6 2'
loop_
_atom_site_label
_atom_site_type_symbol
_atom_site_fract_x
_atom_site_fract_y
_atom_site_fract_z
_atom_site_occupancy
Tm1 Tm 0.0000 0.0000 0.1504 1
Tm2 Tm 0.3333 0.6667 0.3368 1
Ge1 Ge 0.0000 0.0000 0.5000 1
As1 As 0.3333 0.6667 0.0000 1
C1 C 0.6667 0.3333 0.2437 1
```